Theoretical X-ray powder pattern
Compound: YIr
Radiation: a wavelength of 1.5418 Å
Structure: a DFT-relaxed cell (GGA-PBE, Alexandria)
Lines closer than 0.1° are merged.

Structural model:
a b c (Å): 4.4886 4.4886 5.3216
angles (deg): 90.00 90.00 120.00
Space group P6_3/mmc (No. 194)
Asymmetric unit:
Y (0.3333, 0.6667, 0.2500) [2 per cell]
Ir (0.0000, 0.0000, 0.0000) [2 per cell]

Largest 10 diffraction maxima, low angle first, 10° ≤ 2θ ≤ 80°:
22.9°, I = 84, (1 0 0); 28.4°, I = 31, (1 0 1); 40.2°, I = 76, (1 1 0); 41.1°, I = 100, (1 0 2); 46.7°, I = 13, (2 0 0); 53.4°, I = 9, (1 1 2); 58.8°, I = 35, (2 0 2); 63.3°, I = 11, (2 1 0); 73.0°, I = 13, (3 0 0); 73.7°, I = 36, (2 1 2)